No. 1
Calculated X-ray powder pattern
Compound: TiCo3
Radiation: Cu Kα (λ = 1.5418 Å)
Structure: DFT lattice parameters and positions (PBE)
Kinematic intensities with the Lorentz-polarization factor, no thermal factor.

Structure:
```
TiCo3
1.0
5.120 0.000 0.000
-2.560 4.434 0.000
0.000 0.000 4.137
Ti Co
2 6
direct
0.333 0.667 0.250
0.667 0.333 0.750
0.162 0.325 0.750
0.162 0.838 0.750
0.325 0.162 0.250
0.675 0.838 0.750
0.838 0.162 0.250
0.838 0.675 0.250
```

Most intense lines, 2θ = 15–90°, most intense first:
2θ = 46.47°, I = 1000; 2θ = 43.77°, I = 269; 2θ = 40.70°, I = 251; 2θ = 82.36°, I = 162; 2θ = 74.07°, I = 145; 2θ = 61.30°, I = 135; 2θ = 88.13°, I = 23; 2θ = 20.03°, I = 20; 2θ = 59.52°, I = 9; 2θ = 29.53°, I = 8

***

No. 2
Calculated X-ray powder pattern
Compound: Tm3TlRh
Radiation: Cu Kα (λ = 1.5418 Å)
Structure: DFT lattice parameters and positions (PBE)
Kinematic intensities with the Lorentz-polarization factor, no thermal factor.

Structure:
```
Tm3TlRh
1.0
4.712 0.000 0.000
0.000 6.760 0.000
0.000 0.000 8.207
Tm Tl Rh
6 2 2
direct
0.250 0.004 0.157
0.250 0.496 0.157
0.250 0.750 0.562
0.750 0.250 0.438
0.750 0.504 0.843
0.750 0.996 0.843
0.250 0.250 0.680
0.750 0.750 0.320
0.250 0.750 0.892
0.750 0.250 0.108
```

Most intense lines, 2θ = 15–90°, most intense first:
2θ = 34.43°, I = 1000; 2θ = 28.85°, I = 500; 2θ = 38.20°, I = 344; 2θ = 28.56°, I = 265; 2θ = 31.80°, I = 256; 2θ = 48.38°, I = 180; 2θ = 40.39°, I = 160; 2θ = 66.64°, I = 145; 2θ = 42.51°, I = 131; 2θ = 68.30°, I = 125

***

No. 3
Calculated X-ray powder pattern
Compound: Er4Sc7Tl
Radiation: Cu Kα (λ = 1.5418 Å)
Structure: DFT lattice parameters and positions (PBE)
Kinematic intensities with the Lorentz-polarization factor, no thermal factor.

Structure:
```
Er4Sc7Tl
1.0
5.648 -2.686 0.000
5.648 2.686 0.000
-2.265 0.000 11.043
Er Sc Tl
4 7 1
direct
0.078 0.078 0.263
0.361 0.361 0.212
0.639 0.639 0.788
0.922 0.922 0.737
0.136 0.136 0.975
0.254 0.254 0.613
0.384 0.384 0.896
0.500 0.500 0.500
0.616 0.616 0.104
0.746 0.746 0.387
0.864 0.864 0.025
0.000 0.000 0.500
```

Most intense lines, 2θ = 15–90°, most intense first:
2θ = 35.01°, I = 1000; 2θ = 31.81°, I = 877; 2θ = 20.70°, I = 793; 2θ = 33.36°, I = 644; 2θ = 33.21°, I = 463; 2θ = 16.03°, I = 368; 2θ = 29.16°, I = 367; 2θ = 47.79°, I = 336; 2θ = 49.12°, I = 281; 2θ = 29.37°, I = 270

***

No. 4
Calculated X-ray powder pattern
Compound: Cu2Pd4Au
Radiation: Cu Kα (λ = 1.5418 Å)
Structure: DFT lattice parameters and positions (PBE)
Kinematic intensities with the Lorentz-polarization factor, no thermal factor.

Structure:
```
Cu2Pd4Au
1.0
6.806 0.000 0.000
0.000 5.061 0.000
-3.321 0.000 6.324
Cu Pd Au
4 8 2
direct
0.017 0.250 0.421
0.214 0.750 0.000
0.786 0.250 0.000
0.983 0.750 0.579
0.228 0.250 0.207
0.388 0.501 0.776
0.388 0.999 0.776
0.407 0.750 0.426
0.593 0.250 0.574
0.612 0.001 0.224
0.612 0.499 0.224
0.772 0.750 0.793
0.030 0.250 0.786
0.970 0.750 0.214
```

Most intense lines, 2θ = 15–90°, most intense first:
2θ = 38.62°, I = 1000; 2θ = 42.24°, I = 557; 2θ = 41.93°, I = 502; 2θ = 44.62°, I = 439; 2θ = 28.22°, I = 364; 2θ = 42.70°, I = 362; 2θ = 40.49°, I = 339; 2θ = 43.18°, I = 319; 2θ = 35.47°, I = 246; 2θ = 40.30°, I = 240

***

No. 5
Calculated X-ray powder pattern
Compound: ScNi2N
Radiation: Cu Kα (λ = 1.5418 Å)
Structure: DFT lattice parameters and positions (PBE)
Kinematic intensities with the Lorentz-polarization factor, no thermal factor.

Structure:
```
ScNi2N
1.0
-2.196 2.196 5.815
2.196 -2.196 5.815
2.196 2.196 -5.815
Sc Ni N
2 4 2
direct
0.000 0.000 0.000
0.750 0.250 0.500
0.290 0.625 0.165
0.375 0.540 0.665
0.460 0.125 0.835
0.875 0.710 0.335
0.250 0.750 0.500
0.500 0.500 0.000
```

Most intense lines, 2θ = 15–90°, most intense first:
2θ = 30.76°, I = 1000; 2θ = 32.69°, I = 911; 2θ = 46.92°, I = 760; 2θ = 44.07°, I = 754; 2θ = 52.21°, I = 480; 2θ = 21.63°, I = 396; 2θ = 64.07°, I = 271; 2θ = 74.85°, I = 172; 2θ = 55.92°, I = 170; 2θ = 75.93°, I = 167

***

No. 6
Calculated X-ray powder pattern
Compound: RbGaGe
Radiation: Cu Kα (λ = 1.5418 Å)
Structure: DFT lattice parameters and positions (PBE)
Kinematic intensities with the Lorentz-polarization factor, no thermal factor.

Structure:
```
RbGaGe
1.0
4.362 0.000 0.000
2.180 5.761 0.000
2.171 1.097 7.108
Rb Ga Ge
2 2 2
direct
0.068 0.211 0.151
0.932 0.789 0.849
0.280 0.614 0.327
0.720 0.386 0.673
0.373 0.206 0.549
0.627 0.794 0.451
```

Most intense lines, 2θ = 15–90°, most intense first:
2θ = 28.10°, I = 1000; 2θ = 31.64°, I = 467; 2θ = 32.60°, I = 432; 2θ = 41.40°, I = 298; 2θ = 34.69°, I = 247; 2θ = 27.48°, I = 234; 2θ = 53.03°, I = 211; 2θ = 46.44°, I = 202; 2θ = 31.42°, I = 198; 2θ = 51.36°, I = 181

***

No. 7
Calculated X-ray powder pattern
Compound: TbAl7Ga12
Radiation: Cu Kα (λ = 1.5418 Å)
Structure: DFT lattice parameters and positions (PBE)
Kinematic intensities with the Lorentz-polarization factor, no thermal factor.

Structure:
```
TbAl7Ga12
1.0
-4.830 4.830 4.830
4.830 -4.830 4.830
4.830 4.830 -4.830
Tb Al Ga
1 7 12
direct
0.000 0.000 0.000
0.000 0.000 0.500
0.000 0.500 0.000
0.000 0.500 0.500
0.500 0.000 0.000
0.500 0.000 0.500
0.500 0.500 0.000
0.500 0.500 0.500
0.125 0.817 0.307
0.183 0.307 0.490
0.183 0.693 0.875
0.307 0.125 0.817
0.307 0.490 0.183
0.490 0.183 0.307
0.510 0.817 0.693
0.693 0.510 0.817
0.693 0.875 0.183
0.817 0.307 0.125
0.817 0.693 0.510
0.875 0.183 0.693
```

Most intense lines, 2θ = 15–90°, most intense first:
2θ = 29.24°, I = 1000; 2θ = 34.75°, I = 861; 2θ = 32.10°, I = 433; 2θ = 58.94°, I = 391; 2θ = 55.47°, I = 387; 2θ = 46.03°, I = 351; 2θ = 85.25°, I = 280; 2θ = 37.23°, I = 276; 2θ = 68.71°, I = 169; 2θ = 48.03°, I = 145

***

No. 8
Calculated X-ray powder pattern
Compound: Sr3SbP
Radiation: Cu Kα (λ = 1.5418 Å)
Structure: DFT lattice parameters and positions (PBE)
Kinematic intensities with the Lorentz-polarization factor, no thermal factor.

Structure:
```
Sr3SbP
1.0
9.264 0.000 0.000
0.000 8.494 0.000
-1.422 0.000 8.858
Sr Sb P
12 4 4
direct
0.051 0.000 0.219
0.051 0.500 0.719
0.262 0.116 0.580
0.262 0.384 0.080
0.368 0.704 0.482
0.368 0.796 0.982
0.632 0.204 0.018
0.632 0.296 0.518
0.738 0.616 0.920
0.738 0.884 0.420
0.949 0.000 0.781
0.949 0.500 0.281
0.412 0.065 0.265
0.412 0.435 0.765
0.588 0.565 0.235
0.588 0.935 0.735
0.058 0.718 0.008
0.058 0.782 0.508
0.942 0.218 0.492
0.942 0.282 0.992
```

Most intense lines, 2θ = 15–90°, most intense first:
2θ = 29.13°, I = 1000; 2θ = 25.84°, I = 831; 2θ = 32.12°, I = 719; 2θ = 31.30°, I = 622; 2θ = 34.23°, I = 617; 2θ = 27.78°, I = 414; 2θ = 37.08°, I = 400; 2θ = 33.12°, I = 358; 2θ = 34.62°, I = 300; 2θ = 31.48°, I = 297